Tb5Sm2Dy3: theoretical powder diffraction line list (copper Kα), based on the GGA-PBE geometry in Alexandria.
Neutral-atom scattering factors, no anomalous dispersion.

Structure:
Lattice parameters (Å, degrees): 10.6494 15.8925 9.4391 90.00 124.08 90.00
Space group C2/c (No. 15)
Asymmetric unit:
Tb 0.0000 0.0287 0.2500 x4
Tb 0.0000 0.2253 0.2500 x4
Tb 0.0000 0.2689 0.7500 x4
Tb 0.2295 0.1202 0.7127 x8
Sm 0.1397 0.3731 0.5467 x8
Dy 0.0000 0.4780 0.7500 x4
Dy 0.1585 0.1208 0.0473 x8

Main lines, by angle (10° ≤ 2θ ≤ 90°):
two_theta	I/Imax	index
30.3	100	2 4 0
30.5	45	2 2 1
30.6	46	2 2 -3
32.1	24	0 4 2
33.7	44	4 0 -2
37.9	16	2 6 -1
49.0	18	0 6 3
65.8	20	2 10 -3

CaSm4HoS8: theoretical powder diffraction line list (copper Kα), based on the GGA-PBE geometry in Alexandria.
Neutral-atom scattering factors, no anomalous dispersion.

Structure:
Lattice parameters (Å, degrees): 8.2321 8.2321 20.0183 90.00 90.00 120.00
Space group R3m (No. 160, hexagonal axes)
Asymmetric unit:
Ca 0.0000 0.0000 0.0000 x3
Sm 0.0000 0.0000 0.2489 x3
Sm 0.1692 0.3383 0.4573 x9
Ho 0.0000 0.0000 0.6266 x3
S 0.0000 0.0000 0.3822 x3
S 0.0000 0.0000 0.8657 x3
S 0.0283 0.5142 0.3754 x9
S 0.1798 0.3597 0.2073 x9

Main lines, by angle (10° ≤ 2θ ≤ 90°):
two_theta	I/Imax	index
13.2	44	1 0 1
25.4	100	1 1 3
25.5	35	0 1 5
26.5	20	2 0 2
30.8	50	0 2 4
40.3	48	1 2 5
44.0	43	2 2 0
44.2	43	2 0 8

Which formula does entry 1 have? Tb5Sm2Dy3